1.
The following is a computed XRD peak list of Sr2Mg17. It was derived from a cell relaxed with GGA-PBE, using Cu Ka.
No peak broadening, texture or thermal motion is included.

Atomic structure:
```
data_Sr2Mg17
_chemical_formula_sum 'Sr4 Mg34'
_symmetry_space_group_name_H-M 'P 63/m m c'
_symmetry_Int_Tables_number 194
_symmetry_space_group_name_Hall '-P 6c 2c'
_cell_length_a 10.4993
_cell_length_b 10.4993
_cell_length_c 10.3251
_cell_angle_alpha 90.00
_cell_angle_beta 90.00
_cell_angle_gamma 120.00
loop_
_atom_site_label
_atom_site_fract_x
_atom_site_fract_y
_atom_site_fract_z
_atom_site_occupancy
Sr1 0.0000 0.0000 0.2500 1
Sr2 0.3333 0.6667 0.2500 1
Mg1 0.0000 0.5000 0.0000 1
Mg2 0.0374 0.3672 0.7500 1
Mg3 0.1655 0.3310 0.0209 1
Mg4 0.3333 0.6667 0.6014 1
```

Principal peaks in the range 10 to 80 degrees two-theta, sorted by position:
2θ/deg	Rel. int.	(hkl)
24.18	49	1 1 2
29.47	44	3 0 0
32.63	34	2 0 3
34.16	58	2 2 0
34.31	100	3 0 2
34.75	29	0 0 4

2.
The following is a computed XRD peak list of LaScZn2Pd2. It was derived from a cell relaxed with GGA-PBE, using Cu Ka.
No peak broadening, texture or thermal motion is included.

Atomic structure:
```
data_LaScZn2Pd2
_chemical_formula_sum 'La1 Sc1 Zn2 Pd2'
_symmetry_space_group_name_H-M 'P -3 m 1'
_symmetry_Int_Tables_number 164
_symmetry_space_group_name_Hall '-P 3 2"'
_cell_length_a 4.4830
_cell_length_b 4.4830
_cell_length_c 6.9357
_cell_angle_alpha 90.00
_cell_angle_beta 90.00
_cell_angle_gamma 120.00
loop_
_atom_site_label
_atom_site_fract_x
_atom_site_fract_y
_atom_site_fract_z
_atom_site_occupancy
La1 0.0000 0.0000 0.0000 1
Sc1 0.0000 0.0000 0.5000 1
Zn1 0.3333 0.6667 0.2981 1
Pd1 0.3333 0.6667 0.7008 1
```

Principal peaks in the range 10 to 80 degrees two-theta, sorted by position:
2θ/deg	Rel. int.	(hkl)
26.31	47	1 0 1
34.68	100	0 1 2
40.23	88	1 1 0
54.15	27	2 0 2
57.25	30	1 1 3
69.56	25	1 2 2

3.
The following is a computed XRD peak list of Tb4SnBi3. It was derived from a cell relaxed with GGA-PBE, using Cu Ka.
No peak broadening, texture or thermal motion is included.

Atomic structure:
```
data_Tb4SnBi3
_chemical_formula_sum 'Tb4 Sn1 Bi3'
_symmetry_space_group_name_H-M 'P m -3 m'
_symmetry_Int_Tables_number 221
_symmetry_space_group_name_Hall '-P 4 2 3'
_cell_length_a 6.3267
_cell_length_b 6.3267
_cell_length_c 6.3267
_cell_angle_alpha 90.00
_cell_angle_beta 90.00
_cell_angle_gamma 90.00
loop_
_atom_site_label
_atom_site_fract_x
_atom_site_fract_y
_atom_site_fract_z
_atom_site_occupancy
Tb1 0.0000 0.0000 0.0000 1
Tb2 0.0000 0.5000 0.5000 1
Sn1 0.5000 0.5000 0.5000 1
Bi1 0.0000 0.0000 0.5000 1
```

Principal peaks in the range 10 to 80 degrees two-theta, sorted by position:
2θ/deg	Rel. int.	(hkl)
28.21	100	2 0 0
40.32	78	2 2 0
49.94	28	2 2 2
58.34	13	4 0 0
66.04	37	4 2 0
73.30	28	4 2 2

4.
The following is a computed XRD peak list of KVTe3As. It was derived from a cell relaxed with GGA-PBE, using Cu Ka.
No peak broadening, texture or thermal motion is included.

Atomic structure:
```
data_KVTe3As
_chemical_formula_sum 'K2 V2 Te6 As2'
_symmetry_space_group_name_H-M 'P 1 21/m 1'
_symmetry_Int_Tables_number 11
_symmetry_space_group_name_Hall '-P 2yb'
_cell_length_a 9.1116
_cell_length_b 3.5696
_cell_length_c 10.9478
_cell_angle_alpha 90.00
_cell_angle_beta 108.28
_cell_angle_gamma 90.00
loop_
_atom_site_label
_atom_site_fract_x
_atom_site_fract_y
_atom_site_fract_z
_atom_site_occupancy
K1 0.2039 0.2500 0.3036 1
V1 0.3075 0.7500 0.8328 1
Te1 0.1244 0.2500 0.9130 1
Te2 0.3795 0.7500 0.5997 1
Te3 0.4399 0.7500 0.1071 1
As1 0.1575 0.2500 0.6731 1
```

Principal peaks in the range 10 to 80 degrees two-theta, sorted by position:
2θ/deg	Rel. int.	(hkl)
11.06	33	1 0 -1
15.24	35	1 0 1
30.36	67	0 1 2
30.76	29	2 0 2
32.52	100	2 1 0
34.23	25	2 0 -4

5.
The following is a computed XRD peak list of CdCu2PbF8. It was derived from a cell relaxed with GGA-PBE, using Cu Ka.
No peak broadening, texture or thermal motion is included.

Atomic structure:
```
data_CdCu2PbF8
_chemical_formula_sum 'Cd2 Cu4 Pb2 F16'
_symmetry_space_group_name_H-M 'I -4'
_symmetry_Int_Tables_number 82
_symmetry_space_group_name_Hall 'I -4'
_cell_length_a 5.6124
_cell_length_b 5.6124
_cell_length_c 10.8777
_cell_angle_alpha 90.00
_cell_angle_beta 90.00
_cell_angle_gamma 90.00
loop_
_atom_site_label
_atom_site_fract_x
_atom_site_fract_y
_atom_site_fract_z
_atom_site_occupancy
Cd1 0.0000 0.0000 0.0000 1
Cu1 0.0000 0.0000 0.5000 1
Cu2 0.0000 0.5000 0.7500 1
Pb1 0.0000 0.5000 0.2500 1
F1 0.1290 0.7936 0.8102 1
F2 0.1622 0.2843 0.4472 1
```

Principal peaks in the range 10 to 80 degrees two-theta, sorted by position:
2θ/deg	Rel. int.	(hkl)
17.78	27	1 0 1
27.83	100	1 1 2
31.89	25	2 0 0
32.94	19	0 0 4
46.50	25	2 0 4
54.38	38	1 3 2

6.
The following is a computed XRD peak list of Sm8Tm3. It was derived from a cell relaxed with GGA-PBE, using Cu Ka.
No peak broadening, texture or thermal motion is included.

Atomic structure:
```
data_Sm8Tm3
_chemical_formula_sum 'Sm24 Tm9'
_symmetry_space_group_name_H-M 'R -3'
_symmetry_Int_Tables_number 148
_symmetry_space_group_name_Hall '-R 3'
_cell_length_a 9.7157
_cell_length_b 9.7157
_cell_length_c 13.7111
_cell_angle_alpha 90.00
_cell_angle_beta 90.00
_cell_angle_gamma 120.00
loop_
_atom_site_label
_atom_site_fract_x
_atom_site_fract_y
_atom_site_fract_z
_atom_site_occupancy
Sm1 0.0000 0.0000 0.1120 1
Sm2 0.0380 0.2315 0.6138 1
Tm1 0.0000 0.5000 0.5000 1
```

Principal peaks in the range 10 to 80 degrees two-theta, sorted by position:
2θ/deg	Rel. int.	(hkl)
26.78	18	2 -1 3
28.11	50	1 0 4
28.82	100	2 1 1
31.00	33	3 -2 2
39.21	37	2 0 5
42.13	32	4 -2 3

7.
The following is a computed XRD peak list of Rb2AgCCl6. It was derived from a cell relaxed with GGA-PBE, using Cu Ka.
No peak broadening, texture or thermal motion is included.

Atomic structure:
```
data_Rb2AgCCl6
_chemical_formula_sum 'Rb4 Ag2 C2 Cl12'
_symmetry_space_group_name_H-M 'I 4/m m m'
_symmetry_Int_Tables_number 139
_symmetry_space_group_name_Hall '-I 4 2'
_cell_length_a 6.9707
_cell_length_b 6.9707
_cell_length_c 9.8976
_cell_angle_alpha 90.00
_cell_angle_beta 90.00
_cell_angle_gamma 90.00
loop_
_atom_site_label
_atom_site_fract_x
_atom_site_fract_y
_atom_site_fract_z
_atom_site_occupancy
Rb1 0.0000 0.5000 0.2500 1
Ag1 0.0000 0.0000 0.0000 1
C1 0.0000 0.0000 0.5000 1
Cl1 0.0000 0.0000 0.2684 1
Cl2 0.2322 0.2322 0.5000 1
```

Principal peaks in the range 10 to 80 degrees two-theta, sorted by position:
2θ/deg	Rel. int.	(hkl)
25.52	100	2 0 0
31.39	52	2 0 2
36.31	32	0 0 4
36.46	63	2 2 0
44.99	41	3 1 2
52.40	39	2 2 4

8.
The following is a computed XRD peak list of Tl2SbS2Br2. It was derived from a cell relaxed with GGA-PBE, using Cu Ka.
No peak broadening, texture or thermal motion is included.

Atomic structure:
```
data_Tl2SbS2Br2
_chemical_formula_sum 'Tl4 Sb2 S4 Br4'
_symmetry_space_group_name_H-M 'I 4/m m m'
_symmetry_Int_Tables_number 139
_symmetry_space_group_name_Hall '-I 4 2'
_cell_length_a 5.1560
_cell_length_b 5.1560
_cell_length_c 16.4247
_cell_angle_alpha 90.00
_cell_angle_beta 90.00
_cell_angle_gamma 90.00
loop_
_atom_site_label
_atom_site_fract_x
_atom_site_fract_y
_atom_site_fract_z
_atom_site_occupancy
Tl1 0.0000 0.0000 0.1241 1
Sb1 0.0000 0.0000 0.5000 1
S1 0.0000 0.5000 0.0000 1
Br1 0.0000 0.0000 0.3303 1
```

Principal peaks in the range 10 to 80 degrees two-theta, sorted by position:
2θ/deg	Rel. int.	(hkl)
23.70	30	1 0 3
24.41	100	1 1 0
32.31	67	1 0 5
32.85	43	1 1 4
34.80	60	2 0 0
48.22	44	2 1 5

9.
The following is a computed XRD peak list of Ac2Zn5Ga3. It was derived from a cell relaxed with GGA-PBE, using Cu Ka.
No peak broadening, texture or thermal motion is included.

Atomic structure:
```
data_Ac2Zn5Ga3
_chemical_formula_sum 'Ac8 Zn20 Ga12'
_symmetry_space_group_name_H-M 'I b a m'
_symmetry_Int_Tables_number 72
_symmetry_space_group_name_Hall '-I 2 2c'
_cell_length_a 10.7192
_cell_length_b 12.5684
_cell_length_c 6.2697
_cell_angle_alpha 90.00
_cell_angle_beta 90.00
_cell_angle_gamma 90.00
loop_
_atom_site_label
_atom_site_fract_x
_atom_site_fract_y
_atom_site_fract_z
_atom_site_occupancy
Ac1 0.2482 0.1245 0.0000 1
Zn1 0.0000 0.2534 0.2500 1
Zn2 0.0000 0.5000 0.2500 1
Zn3 0.1269 0.1266 0.5000 1
Ga1 0.0000 0.0000 0.2500 1
Ga2 0.1333 0.3746 0.0000 1
```

Principal peaks in the range 10 to 80 degrees two-theta, sorted by position:
2θ/deg	Rel. int.	(hkl)
32.16	100	3 2 1
33.05	67	2 4 0
33.11	66	2 0 2
40.65	70	0 4 2
47.08	41	5 2 1
52.76	50	3 6 1

10.
The following is a computed XRD peak list of NpNiGeH. It was derived from a cell relaxed with GGA-PBE, using Cu Ka.
No peak broadening, texture or thermal motion is included.

Atomic structure:
```
data_NpNiGeH
_chemical_formula_sum 'Np1 Ni1 Ge1 H1'
_symmetry_space_group_name_H-M 'P -6 m 2'
_symmetry_Int_Tables_number 187
_symmetry_space_group_name_Hall 'P -6 2'
_cell_length_a 4.2068
_cell_length_b 4.2068
_cell_length_c 3.6181
_cell_angle_alpha 90.00
_cell_angle_beta 90.00
_cell_angle_gamma 120.00
loop_
_atom_site_label
_atom_site_fract_x
_atom_site_fract_y
_atom_site_fract_z
_atom_site_occupancy
Np1 0.0000 0.0000 0.0000 1
Ni1 0.6667 0.3333 0.5000 1
Ge1 0.3333 0.6667 0.5000 1
H1 0.6667 0.3333 0.0000 1
```

Principal peaks in the range 10 to 80 degrees two-theta, sorted by position:
2θ/deg	Rel. int.	(hkl)
24.43	34	1 0 0
34.95	100	1 0 1
43.00	43	1 1 0
56.57	26	2 0 1
68.40	22	1 1 2
73.60	24	2 1 1

11.
The following is a computed XRD peak list of HoTcGe. It was derived from a cell relaxed with GGA-PBE, using Cu Ka.
No peak broadening, texture or thermal motion is included.

Atomic structure:
```
data_HoTcGe
_chemical_formula_sum 'Ho6 Tc6 Ge6'
_symmetry_space_group_name_H-M 'P m m a'
_symmetry_Int_Tables_number 51
_symmetry_space_group_name_Hall '-P 2a 2a'
_cell_length_a 12.9412
_cell_length_b 3.6479
_cell_length_c 7.1832
_cell_angle_alpha 90.00
_cell_angle_beta 90.00
_cell_angle_gamma 90.00
loop_
_atom_site_label
_atom_site_fract_x
_atom_site_fract_y
_atom_site_fract_z
_atom_site_occupancy
Ho1 0.0479 0.0000 0.2262 1
Ho2 0.2500 0.0000 0.6616 1
Tc1 0.1285 0.5000 0.9203 1
Tc2 0.2500 0.5000 0.3067 1
Ge1 0.0950 0.5000 0.5551 1
Ge2 0.2500 0.0000 0.0575 1
```

Principal peaks in the range 10 to 80 degrees two-theta, sorted by position:
2θ/deg	Rel. int.	(hkl)
34.54	100	3 1 1
35.06	33	0 1 2
35.76	36	1 1 2
37.14	40	4 1 0
37.80	30	2 1 2
50.01	27	0 2 0

12.
The following is a computed XRD peak list of Ti6Sn2P. It was derived from a cell relaxed with GGA-PBE, using Cu Ka.
No peak broadening, texture or thermal motion is included.

Atomic structure:
```
data_Ti6Sn2P
_chemical_formula_sum 'Ti6 Sn2 P1'
_symmetry_space_group_name_H-M 'P -6 2 m'
_symmetry_Int_Tables_number 189
_symmetry_space_group_name_Hall 'P -6 -2'
_cell_length_a 7.1992
_cell_length_b 7.1992
_cell_length_c 3.5284
_cell_angle_alpha 90.00
_cell_angle_beta 90.00
_cell_angle_gamma 120.00
loop_
_atom_site_label
_atom_site_fract_x
_atom_site_fract_y
_atom_site_fract_z
_atom_site_occupancy
Ti1 0.0000 0.3700 0.0000 1
Ti2 0.0000 0.7619 0.5000 1
Sn1 0.3333 0.6667 0.5000 1
P1 0.0000 0.0000 0.0000 1
```

Principal peaks in the range 10 to 80 degrees two-theta, sorted by position:
2θ/deg	Rel. int.	(hkl)
24.73	35	1 1 0
35.63	100	1 1 1
38.19	34	2 1 0
38.54	46	2 0 1
43.55	50	3 0 0
46.33	43	2 1 1